No. 1
Diffraction record for NdCu5S4. The XRD peak list is theoretical, not measured: it uses a cell relaxed with PBE and Cu Kα (λ = 1.5418 Å).

Cell lengths 3.8851, 7.0314, 12.5660 Å; angles 90.00, 90.00, 90.00 degrees
Space group Immm (No. 71)
One atom of each set of equivalent atoms:
Nd (0.0000, 0.0000, 0.0000) (multiplicity 2)
Cu (0.0000, 0.3026, 0.3195) (multiplicity 8)
Cu (0.0000, 0.5000, 0.0000) (multiplicity 2)
S (0.0000, 0.0000, 0.2296) (multiplicity 4)
S (0.0000, 0.2147, 0.5000) (multiplicity 4)

Peak list (10 most intense, 10 to 80 degrees two-theta, in order of rising 2θ)
| index | d [Å] | Rel. int. |
| --- | --- | --- |
| 0 1 1 | 6.136 | 35 |
| 0 0 4 | 3.141 | 27 |
| 0 2 2 | 3.068 | 31 |
| 1 0 3 | 2.848 | 74 |
| 1 2 1 | 2.552 | 100 |
| 0 0 6 | 2.094 | 22 |
| 0 3 3 | 2.045 | 18 |
| 1 3 0 | 2.007 | 19 |
| 2 0 0 | 1.943 | 30 |
| 1 2 5 | 1.809 | 59 |

---

No. 2
Diffraction record for MgNi3H8Pd2. The XRD peak list is theoretical, not measured: it uses a cell relaxed with PBE and Cu Kα (λ = 1.5418 Å).

Cell lengths 5.2099, 5.2099, 13.9266 Å; angles 90.00, 90.00, 120.00 degrees
Space group R3m (No. 160, hexagonal axes)
One atom of each set of equivalent atoms:
Mg (0.0000, 0.0000, 0.0000) (multiplicity 3)
Ni (0.0029, 0.5014, 0.1412) (multiplicity 9)
H (0.0000, 0.0000, 0.4087) (multiplicity 3)
H (0.0000, 0.0000, 0.8592) (multiplicity 3)
H (0.0475, 0.5237, 0.4112) (multiplicity 9)
H (0.1759, 0.3518, 0.2078) (multiplicity 9)
Pd (0.0000, 0.0000, 0.2769) (multiplicity 3)
Pd (0.0000, 0.0000, 0.6412) (multiplicity 3)

Peak list (10 most intense, 10 to 80 degrees two-theta, in order of rising 2θ)
| index | d [Å] | Rel. int. |
| --- | --- | --- |
| 1 0 1 | 4.292 | 38 |
| 1 1 0 | 2.605 | 28 |
| 0 1 5 | 2.370 | 38 |
| 0 0 6 | 2.321 | 28 |
| 1 1 3 | 2.272 | 100 |
| 0 2 1 | 2.227 | 19 |
| 2 0 2 | 2.146 | 41 |
| 0 3 3 | 1.431 | 22 |
| 2 0 8 | 1.378 | 20 |
| 2 2 0 | 1.302 | 18 |

---

No. 3
Diffraction record for Cu4ReTe. The XRD peak list is theoretical, not measured: it uses a cell relaxed with PBE and Cu Kα (λ = 1.5418 Å).

Cell lengths 6.9878, 6.9878, 6.9878 Å; angles 90.00, 90.00, 90.00 degrees
Space group F-43m (No. 216)
One atom of each set of equivalent atoms:
Cu (0.1241, 0.1241, 0.1241) (multiplicity 16)
Re (0.2500, 0.2500, 0.7500) (multiplicity 4)
Te (0.0000, 0.0000, 0.5000) (multiplicity 4)

Peak list (10 most intense, 10 to 80 degrees two-theta, in order of rising 2θ)
| index | d [Å] | Rel. int. |
| --- | --- | --- |
| 1 1 1 | 4.034 | 12 |
| 2 0 0 | 3.494 | 2 |
| 2 2 0 | 2.471 | 59 |
| 3 1 1 | 2.107 | 100 |
| 2 2 2 | 2.017 | 18 |
| 3 3 1 | 1.603 | 3 |
| 4 2 0 | 1.563 | 1 |
| 4 2 2 | 1.426 | 21 |
| 3 3 3 | 1.345 | 30 |
| 4 4 0 | 1.235 | 22 |

---

No. 4
Diffraction record for KNaPrNbO5. The XRD peak list is theoretical, not measured: it uses a cell relaxed with PBE and Cu Kα (λ = 1.5418 Å).

Cell lengths 5.8150, 5.8150, 8.4048 Å; angles 90.00, 90.00, 90.00 degrees
Space group P4/nmm (No. 129, origin choice 2)
One atom of each set of equivalent atoms:
K (0.2500, 0.7500, 0.0000) (multiplicity 2)
Na (0.2500, 0.2500, 0.2410) (multiplicity 2)
Pr (0.2500, 0.7500, 0.5000) (multiplicity 2)
Nb (0.2500, 0.2500, 0.7432) (multiplicity 2)
O (0.0198, 0.0198, 0.6714) (multiplicity 8)
O (0.2500, 0.2500, 0.9657) (multiplicity 2)

Peak list (10 most intense, 10 to 80 degrees two-theta, in order of rising 2θ)
| index | d [Å] | Rel. int. |
| --- | --- | --- |
| 0 0 1 | 8.405 | 49 |
| 1 0 1 | 4.782 | 29 |
| 1 1 1 | 3.693 | 28 |
| 1 1 2 | 2.939 | 100 |
| 2 0 0 | 2.907 | 38 |
| 2 2 0 | 2.056 | 30 |
| 2 0 4 | 1.703 | 26 |
| 3 1 2 | 1.685 | 37 |
| 2 2 4 | 1.469 | 12 |
| 4 0 0 | 1.454 | 10 |

---

No. 5
Diffraction record for Li2PS3. The XRD peak list is theoretical, not measured: it uses a cell relaxed with PBE and Cu Kα (λ = 1.5418 Å).

Cell lengths 6.1643, 6.1643, 6.4032 Å; angles 90.00, 90.00, 120.00 degrees
Space group P6_3cm (No. 185)
One atom of each set of equivalent atoms:
Li (0.3333, 0.6667, 0.0000) (multiplicity 4)
P (0.0000, 0.0000, 0.2121) (multiplicity 2)
S (0.0000, 0.3284, 0.2464) (multiplicity 6)

Peak list (10 most intense, 10 to 80 degrees two-theta, in order of rising 2θ)
| index | d [Å] | Rel. int. |
| --- | --- | --- |
| 1 0 0 | 5.338 | 31 |
| 0 0 2 | 3.202 | 48 |
| 1 1 1 | 2.777 | 100 |
| 1 0 2 | 2.746 | 18 |
| 1 1 2 | 2.220 | 8 |
| 3 0 0 | 1.779 | 31 |
| 1 1 3 | 1.755 | 22 |
| 3 0 2 | 1.555 | 26 |
| 2 2 1 | 1.498 | 12 |
| 2 2 3 | 1.249 | 7 |

---

No. 6
Diffraction record for LaV. The XRD peak list is theoretical, not measured: it uses a cell relaxed with PBE and Cu Kα (λ = 1.5418 Å).

Cell lengths 12.9666, 3.5085, 6.6850 Å; angles 90.00, 90.00, 90.00 degrees
Space group Pmn2_1 (No. 31)
One atom of each set of equivalent atoms:
La (0.0000, 0.2132, 0.0000) (multiplicity 2)
La (0.2136, 0.7107, 0.2648) (multiplicity 4)
V (0.0000, 0.3189, 0.4839) (multiplicity 2)
V (0.0936, 0.7990, 0.6658) (multiplicity 4)

Peak list (10 most intense, 10 to 80 degrees two-theta, in order of rising 2θ)
| index | d [Å] | Rel. int. |
| --- | --- | --- |
| 3 0 1 | 3.630 | 34 |
| 4 0 0 | 3.242 | 29 |
| 0 1 1 | 3.107 | 37 |
| 2 0 2 | 2.971 | 100 |
| 2 1 1 | 2.802 | 81 |
| 3 1 0 | 2.724 | 61 |
| 5 0 1 | 2.418 | 44 |
| 1 1 2 | 2.379 | 51 |
| 4 1 1 | 2.243 | 27 |
| 5 1 2 | 1.769 | 38 |

---

No. 7
Diffraction record for MoCl7. The XRD peak list is theoretical, not measured: it uses a cell relaxed with PBE and Cu Kα (λ = 1.5418 Å).

Cell lengths 8.6369, 8.6369, 8.6369 Å; angles 90.00, 90.00, 90.00 degrees
Space group Fm-3m (No. 225)
One atom of each set of equivalent atoms:
Mo (0.0000, 0.0000, 0.0000) (multiplicity 4)
Cl (0.0000, 0.0000, 0.5000) (multiplicity 4)
Cl (0.0000, 0.2500, 0.2500) (multiplicity 24)

Peak list (10 most intense, 10 to 80 degrees two-theta, in order of rising 2θ)
| index | d [Å] | Rel. int. |
| --- | --- | --- |
| 1 1 1 | 4.987 | 18 |
| 2 0 0 | 4.318 | 10 |
| 2 2 0 | 3.054 | 8 |
| 3 1 1 | 2.604 | 11 |
| 2 2 2 | 2.493 | 100 |
| 4 0 0 | 2.159 | 47 |
| 3 3 1 | 1.981 | 5 |
| 4 4 0 | 1.527 | 28 |
| 6 2 2 | 1.302 | 32 |
| 4 4 4 | 1.247 | 9 |

---

No. 8
Diffraction record for Li2Au3S3. The XRD peak list is theoretical, not measured: it uses a cell relaxed with PBE and Cu Kα (λ = 1.5418 Å).

Cell lengths 8.5971, 8.4485, 6.0155 Å; angles 90.00, 91.24, 90.00 degrees
Space group C2 (No. 5)
One atom of each set of equivalent atoms:
Li (0.2014, 0.0000, 0.2984) (multiplicity 4)
Au (0.0000, 0.2690, 0.5000) (multiplicity 2)
Au (0.1348, 0.8649, 0.7691) (multiplicity 4)
S (0.0000, 0.0310, 0.0000) (multiplicity 2)
S (0.2340, 0.7335, 0.4669) (multiplicity 4)

Peak list (10 most intense, 10 to 80 degrees two-theta, in order of rising 2θ)
| index | d [Å] | Rel. int. |
| --- | --- | --- |
| 0 0 1 | 6.021 | 33 |
| 0 2 0 | 4.224 | 100 |
| 2 0 -1 | 3.533 | 21 |
| 2 0 1 | 3.458 | 21 |
| 3 1 0 | 2.710 | 73 |
| 2 2 1 | 2.676 | 29 |
| 1 3 -1 | 2.452 | 34 |
| 3 3 0 | 2.008 | 12 |
| 4 0 2 | 1.729 | 14 |
| 2 2 3 | 1.658 | 14 |